LaSn4Ir4: theoretical X-ray diffraction stick pattern (Cu Kα (weighted mean of Kα1 and Kα2)), based on a PBE-relaxed structure.
Neutral-atom scattering factors, no anomalous dispersion.

Peak list (6 most intense, 10° ≤ 2θ ≤ 80°, low angle first)
Position (°2θ)	d (Å)	Rel. int.	h k l
14.14	6.261	31	1 1 0
31.96	2.800	100	1 3 0
35.06	2.560	49	1 0 2
40.42	2.232	30	2 3 1
45.51	1.993	31	4 1 1
45.80	1.981	72	3 0 2

Structural model:
abc: 8.855 8.855 5.347
angles: 90.00 90.00 90.00
Space group P4_2/n (No. 86, origin choice 2)
One atom of each set of equivalent atoms:
La (0.250, 0.250, 0.250) (multiplicity 2)
Sn (0.106, 0.636, 0.155) (multiplicity 8)
Ir (0.054, 0.600, 0.662) (multiplicity 8)

---

Ba9NaPt3: theoretical X-ray diffraction stick pattern (Cu Kα (weighted mean of Kα1 and Kα2)), based on a PBE-relaxed structure.
Neutral-atom scattering factors, no anomalous dispersion.

Peak list (6 most intense, 10° ≤ 2θ ≤ 80°, low angle first)
Position (°2θ)	d (Å)	Rel. int.	h k l
13.33	6.642	80	1 0 1
14.59	6.069	96	0 2 0
16.33	5.429	48	1 0 -2
24.59	3.621	100	1 3 0
34.39	2.608	47	1 0 -5
37.56	2.395	84	3 2 -2

Structural model:
abc: 8.179 12.139 13.369
angles: 90.00 95.91 90.00
Space group P2_1/m (No. 11)
One atom of each set of equivalent atoms:
Ba (0.055, 0.250, 0.201) (multiplicity 2)
Ba (0.161, 0.565, 0.377) (multiplicity 4)
Ba (0.184, 0.250, 0.846) (multiplicity 2)
Ba (0.237, 0.552, 0.043) (multiplicity 4)
Ba (0.351, 0.554, 0.701) (multiplicity 4)
Ba (0.369, 0.250, 0.516) (multiplicity 2)
Na (0.476, 0.250, 0.091) (multiplicity 2)
Pt (0.054, 0.003, 0.827) (multiplicity 4)
Pt (0.500, 0.000, 0.500) (multiplicity 2)

---

BaUHg2S6: theoretical X-ray diffraction stick pattern (Cu Kα (weighted mean of Kα1 and Kα2)), based on a PBE-relaxed structure.
Neutral-atom scattering factors, no anomalous dispersion.

Peak list (6 most intense, 10° ≤ 2θ ≤ 80°, low angle first)
Position (°2θ)	d (Å)	Rel. int.	h k l
12.68	6.981	18	0 0 3
22.40	3.969	100	1 0 4
25.35	3.514	66	1 1 0
34.08	2.631	37	0 2 4
42.95	2.106	40	3 -1 4
44.67	2.029	28	3 0 0

Structural model:
abc: 7.0271 7.0271 20.9437
angles: 90.00 90.00 120.00
Space group R-3 (No. 148, hexagonal axes)
One atom of each set of equivalent atoms:
Ba (0.0000, 0.0000, 0.0000) (multiplicity 3)
U (0.0000, 0.0000, 0.5000) (multiplicity 3)
Hg (0.0000, 0.0000, 0.2305) (multiplicity 6)
S (0.0039, 0.7107, 0.4255) (multiplicity 18)

---

ZrOsPd2: theoretical X-ray diffraction stick pattern (Cu Kα (weighted mean of Kα1 and Kα2)), based on a PBE-relaxed structure.
Neutral-atom scattering factors, no anomalous dispersion.

Peak list (6 most intense, 10° ≤ 2θ ≤ 80°, low angle first)
Position (°2θ)	d (Å)	Rel. int.	h k l
23.93	3.718	8	1 1 1
39.58	2.277	100	2 2 0
46.78	1.942	5	3 1 1
57.22	1.610	17	4 0 0
62.91	1.477	2	3 3 1
71.81	1.315	34	4 2 2

Structural model:
abc: 6.440 6.440 6.440
angles: 90.00 90.00 90.00
Space group Fm-3m (No. 225)
One atom of each set of equivalent atoms:
Zr (0.000, 0.000, 0.000) (multiplicity 4)
Os (0.000, 0.000, 0.500) (multiplicity 4)
Pd (0.250, 0.250, 0.250) (multiplicity 8)